Calculated powder XRD pattern of GePSN for Cu Kα, from a DFT-relaxed cell (PBE, Alexandria).

Cell and atoms:
```
4
Lattice="6.2848 -1.5438 0.0000 6.2848 1.5438 0.0000 -1.3662 0.0000 4.8109" Properties=species:S:1:pos:R:3 pbc="T T T"
Ge 0.0000 0.0000 0.0000
P 8.0733 0.0000 2.2058
S 1.2666 0.0000 3.6548
N 6.8434 0.0000 1.0694
```

Principal peaks in the range 2θ from 10° to 90°, low angle first:
6.046 Å, I = 100
4.811 Å, I = 28
4.395 Å, I = 94
3.345 Å, I = 55
3.023 Å, I = 29
2.992 Å, I = 30
2.948 Å, I = 44
2.467 Å, I = 66
1.917 Å, I = 25
1.880 Å, I = 30


Calculated powder XRD pattern of GePSN for Cu Kα, from a DFT-relaxed cell (PBE, Alexandria).

Cell and atoms:
```
4
Lattice="5.5627 -1.3491 0.0000 5.5627 1.3491 0.0000 -2.2405 0.0000 5.5454" Properties=species:S:1:pos:R:3 pbc="T T T"
Ge 0.0000 0.0000 0.0000
P 1.5156 0.0000 3.1846
S 0.1190 0.0000 5.0652
N 7.9907 0.0000 3.6702
```

Principal peaks in the range 2θ from 10° to 90°, low angle first:
5.545 Å, I = 100
4.772 Å, I = 74
3.222 Å, I = 39
2.771 Å, I = 41
2.610 Å, I = 50
2.579 Å, I = 22
2.386 Å, I = 33
2.280 Å, I = 31
1.996 Å, I = 19
1.640 Å, I = 31


Calculated powder XRD pattern of Sr2GeP2N6 for Cu Kα, from a DFT-relaxed cell (PBE, Alexandria).

Cell and atoms:
```
11
Lattice="2.7398 1.5818 5.5449 -2.7398 1.5818 5.5449 0.0000 -3.1636 5.5449" Properties=species:S:1:pos:R:3 pbc="T T T"
Sr 0.0000 0.0000 3.5500
Sr 0.0000 0.0000 13.0846
Ge 0.0000 0.0000 0.0000
P 0.0000 0.0000 6.7746
P 0.0000 0.0000 9.8600
N 0.0000 -1.5818 6.8246
N -1.3699 0.7909 6.8246
N -1.3699 -0.7909 9.8100
N 1.3699 0.7909 6.8246
N 1.3699 -0.7909 9.8100
N 0.0000 1.5818 9.8100
```

Principal peaks in the range 2θ from 10° to 90°, low angle first:
3.128 Å, I = 19
2.740 Å, I = 91
2.724 Å, I = 100
2.061 Å, I = 22
1.932 Å, I = 31
1.582 Å, I = 17
1.579 Å, I = 36
1.532 Å, I = 16
1.370 Å, I = 17
1.224 Å, I = 16